Theoretical powder X-ray diffraction pattern of SmTh2Sc3 for copper Kα, from a crystal structure in Alexandria, relaxed with GGA-PBE.

Principal peaks in the range 10 to 80 degrees two-theta, sorted by position:
2θ 19.0, I = 34, (0 0 3)
2θ 25.5, I = 35, (1 0 0)
2θ 32.0, I = 100, (1 0 3)
2θ 36.3, I = 37, (1 1 0)
2θ 38.6, I = 16, (0 0 6)
2θ 41.3, I = 21, (1 1 3)
2θ 54.1, I = 23, (1 1 6)
2θ 62.6, I = 29, (2 1 3)

Cell lengths 3.4994, 3.4994, 13.9841 Å; angles 90.00, 90.00, 90.00 degrees
Space group P4/mmm (No. 123)
Asymmetric unit:
Sm 0.0000 0.0000 0.0000 [1 per cell]
Th 0.0000 0.0000 0.3342 [2 per cell]
Sc 0.5000 0.5000 0.1715 [2 per cell]
Sc 0.5000 0.5000 0.5000 [1 per cell]